[1]
For Ce4Co2Os, a structure optimized by DFT (PBE) gives the simulated XRD peak list in this record (CuKα).

Top 12 peaks for 2θ = 10–90°, in order of rising 2θ:
| 2θ (°) | I/Imax |
| --- | --- |
| 20.77 | 43 |
| 29.09 | 42 |
| 29.55 | 35 |
| 32.20 | 100 |
| 33.03 | 62 |
| 39.07 | 39 |
| 39.34 | 68 |
| 42.27 | 40 |
| 49.74 | 29 |
| 51.29 | 23 |
| 53.63 | 22 |
| 62.86 | 22 |

Atomic structure:
```
Ce4Co2Os
1.0
-4.276 4.276 4.410
4.276 -4.276 4.410
4.276 4.276 -4.410
Ce Co Os
8 4 2
Direct
0.200 0.259 0.558
0.200 0.642 0.942
0.259 0.200 0.058
0.358 0.800 0.558
0.642 0.200 0.442
0.741 0.800 0.942
0.800 0.358 0.058
0.800 0.741 0.442
0.000 0.500 0.500
0.500 0.000 0.000
0.500 0.500 0.000
0.500 0.500 0.500
0.125 0.875 0.250
0.875 0.125 0.750
```

***

[2]
For Ce2CoOs, a structure optimized by DFT (PBE) gives the simulated XRD peak list in this record (CuKα).

Top 12 peaks for 2θ = 10–90°, in order of rising 2θ:
| 2θ (°) | I/Imax |
| --- | --- |
| 26.17 | 14 |
| 31.99 | 43 |
| 34.15 | 100 |
| 39.76 | 23 |
| 41.22 | 43 |
| 41.32 | 40 |
| 46.94 | 25 |
| 48.28 | 22 |
| 57.94 | 16 |
| 59.01 | 12 |
| 59.18 | 12 |
| 69.62 | 15 |

Atomic structure:
```
Ce2CoOs
1.0
5.897 0.000 0.000
0.000 3.871 0.000
-2.384 0.000 7.154
Ce Co Os
4 2 2
Direct
0.225 0.250 0.427
0.228 0.250 0.937
0.772 0.750 0.063
0.775 0.750 0.573
0.315 0.750 0.202
0.685 0.250 0.798
0.329 0.750 0.708
0.671 0.250 0.292
```

***

[3]
For Ce12Co6Os, a structure optimized by DFT (PBE) gives the simulated XRD peak list in this record (CuKα).

Top 12 peaks for 2θ = 10–90°, in order of rising 2θ:
| 2θ (°) | I/Imax |
| --- | --- |
| 23.13 | 22 |
| 24.78 | 48 |
| 27.92 | 100 |
| 30.87 | 39 |
| 35.00 | 15 |
| 35.74 | 58 |
| 38.16 | 87 |
| 41.58 | 82 |
| 44.45 | 16 |
| 55.64 | 26 |
| 57.69 | 15 |
| 58.42 | 17 |

Atomic structure:
```
Ce12Co6Os
1.0
5.747 3.318 4.037
-5.747 3.318 4.037
0.000 -6.636 4.037
Ce Co Os
12 6 1
Direct
0.044 0.921 0.660
0.079 0.340 0.956
0.189 0.579 0.402
0.340 0.956 0.079
0.402 0.189 0.579
0.421 0.598 0.811
0.579 0.402 0.189
0.598 0.811 0.421
0.660 0.044 0.921
0.811 0.421 0.598
0.921 0.660 0.044
0.956 0.079 0.340
0.130 0.320 0.620
0.320 0.620 0.130
0.380 0.870 0.680
0.620 0.130 0.320
0.680 0.380 0.870
0.870 0.680 0.380
0.000 0.000 0.000
```

***

[4]
For Ce3CoOs2, a structure optimized by DFT (PBE) gives the simulated XRD peak list in this record (CuKα).

Top 12 peaks for 2θ = 10–90°, in order of rising 2θ:
| 2θ (°) | I/Imax |
| --- | --- |
| 22.01 | 35 |
| 23.38 | 30 |
| 32.08 | 78 |
| 33.20 | 46 |
| 33.69 | 69 |
| 33.91 | 66 |
| 36.38 | 100 |
| 36.65 | 46 |
| 40.68 | 67 |
| 41.56 | 83 |
| 43.25 | 32 |
| 54.68 | 34 |

Atomic structure:
```
Ce3CoOs2
1.0
10.616 0.000 0.000
0.000 4.346 0.000
0.000 0.000 10.917
Ce Co Os
12 4 8
Direct
0.060 0.250 0.104
0.099 0.750 0.574
0.222 0.250 0.813
0.278 0.750 0.313
0.401 0.250 0.074
0.440 0.750 0.604
0.560 0.250 0.396
0.599 0.750 0.926
0.722 0.250 0.687
0.778 0.750 0.187
0.901 0.250 0.426
0.940 0.750 0.896
0.116 0.250 0.375
0.384 0.750 0.875
0.616 0.250 0.125
0.884 0.750 0.625
0.021 0.750 0.262
0.210 0.750 0.043
0.290 0.250 0.543
0.479 0.250 0.762
0.521 0.750 0.238
0.710 0.750 0.457
0.790 0.250 0.957
0.979 0.250 0.738
```

***

[5]
For CeCo5P2, a structure optimized by DFT (PBE) gives the simulated XRD peak list in this record (CuKα).

Top 12 peaks for 2θ = 10–90°, in order of rising 2θ:
| 2θ (°) | I/Imax |
| --- | --- |
| 28.48 | 12 |
| 33.38 | 22 |
| 34.71 | 26 |
| 35.04 | 17 |
| 39.14 | 100 |
| 39.39 | 88 |
| 43.94 | 15 |
| 50.11 | 41 |
| 50.69 | 30 |
| 54.32 | 15 |
| 74.04 | 24 |
| 86.97 | 12 |

Atomic structure:
```
CeCo5P2
1.0
-1.801 3.177 4.443
1.801 -3.177 4.443
1.801 3.177 -4.443
Ce Co P
1 5 2
Direct
0.000 0.000 0.000
0.159 0.352 0.807
0.455 0.648 0.807
0.500 0.000 0.500
0.545 0.352 0.193
0.841 0.648 0.193
0.259 0.759 0.500
0.741 0.241 0.500
```

***

[6]
For CePa2Co2, a structure optimized by DFT (PBE) gives the simulated XRD peak list in this record (CuKα).

Top 12 peaks for 2θ = 10–90°, in order of rising 2θ:
| 2θ (°) | I/Imax |
| --- | --- |
| 26.60 | 12 |
| 28.53 | 36 |
| 29.49 | 14 |
| 29.84 | 19 |
| 32.34 | 29 |
| 36.13 | 100 |
| 38.52 | 30 |
| 39.38 | 34 |
| 42.72 | 19 |
| 50.35 | 18 |
| 53.77 | 17 |
| 64.03 | 12 |

Atomic structure:
```
CePa2Co2
1.0
3.410 0.000 0.000
-0.005 6.431 0.000
-1.695 -1.056 9.088
Ce Pa Co
2 4 4
Direct
0.089 0.494 0.174
0.911 0.506 0.826
0.097 0.033 0.192
0.288 0.283 0.576
0.712 0.717 0.424
0.903 0.967 0.808
0.313 0.782 0.626
0.475 0.190 0.952
0.525 0.810 0.048
0.687 0.218 0.374
```

***

[7]
For CePaCoRu, a structure optimized by DFT (PBE) gives the simulated XRD peak list in this record (CuKα).

Top 12 peaks for 2θ = 10–90°, in order of rising 2θ:
| 2θ (°) | I/Imax |
| --- | --- |
| 15.73 | 17 |
| 28.30 | 24 |
| 31.77 | 49 |
| 33.78 | 25 |
| 34.51 | 100 |
| 41.49 | 57 |
| 47.79 | 19 |
| 48.56 | 19 |
| 53.18 | 22 |
| 58.53 | 17 |
| 59.21 | 17 |
| 79.41 | 14 |

Atomic structure:
```
CePaCoRu
1.0
3.806 0.000 0.000
0.000 1.875 5.633
0.000 -1.875 5.633
Ce Pa Co Ru
1 1 1 1
Direct
0.000 0.000 0.000
0.500 0.729 0.729
0.500 0.462 0.462
0.000 0.268 0.268
```

***

[8]
For Ce8CoPb2, a structure optimized by DFT (PBE) gives the simulated XRD peak list in this record (CuKα).

Top 12 peaks for 2θ = 10–90°, in order of rising 2θ:
| 2θ (°) | I/Imax |
| --- | --- |
| 28.89 | 20 |
| 29.82 | 33 |
| 30.19 | 38 |
| 30.37 | 24 |
| 31.50 | 61 |
| 32.19 | 100 |
| 33.99 | 87 |
| 35.52 | 62 |
| 38.64 | 24 |
| 38.86 | 30 |
| 45.68 | 21 |
| 59.32 | 25 |

Atomic structure:
```
Ce8CoPb2
1.0
9.032 -2.637 0.000
9.032 2.637 0.000
-2.403 0.000 6.220
Ce Co Pb
8 1 2
Direct
0.016 0.016 0.230
0.222 0.222 0.287
0.366 0.366 0.993
0.434 0.434 0.550
0.566 0.566 0.450
0.634 0.634 0.007
0.778 0.778 0.713
0.984 0.984 0.770
0.500 0.500 0.000
0.165 0.165 0.726
0.835 0.835 0.274
```

***

[9]
For Ce5CoPb4, a structure optimized by DFT (PBE) gives the simulated XRD peak list in this record (CuKα).

Top 12 peaks for 2θ = 10–90°, in order of rising 2θ:
| 2θ (°) | I/Imax |
| --- | --- |
| 28.14 | 83 |
| 28.99 | 100 |
| 30.94 | 66 |
| 36.14 | 54 |
| 40.84 | 87 |
| 41.46 | 21 |
| 50.86 | 24 |
| 51.59 | 16 |
| 59.55 | 31 |
| 62.83 | 24 |
| 66.31 | 19 |
| 74.31 | 17 |

Atomic structure:
```
Ce5CoPb4
1.0
-4.870 4.870 3.171
4.870 -4.870 3.171
4.870 4.870 -3.171
Ce Co Pb
5 1 4
Direct
0.000 0.000 0.000
0.260 0.606 0.866
0.394 0.260 0.654
0.606 0.740 0.346
0.740 0.394 0.134
0.500 0.500 0.000
0.065 0.329 0.394
0.329 0.935 0.264
0.671 0.065 0.736
0.935 0.671 0.606
```

***

[10]
For Ce2CoPb, a structure optimized by DFT (PBE) gives the simulated XRD peak list in this record (CuKα).

Top 12 peaks for 2θ = 10–90°, in order of rising 2θ:
| 2θ (°) | I/Imax |
| --- | --- |
| 27.40 | 17 |
| 30.70 | 100 |
| 31.89 | 19 |
| 32.53 | 34 |
| 39.61 | 31 |
| 48.01 | 34 |
| 54.92 | 13 |
| 58.07 | 16 |
| 58.37 | 8 |
| 58.80 | 21 |
| 78.59 | 14 |
| 86.26 | 10 |

Atomic structure:
```
Ce2CoPb
1.0
1.895 1.094 8.419
-1.895 1.094 8.419
0.000 -2.188 8.419
Ce Co Pb
2 1 1
Direct
0.228 0.228 0.228
0.772 0.772 0.772
0.500 0.500 0.500
0.000 0.000 0.000
```

***

[11]
For Ce2PmCo, a structure optimized by DFT (PBE) gives the simulated XRD peak list in this record (CuKα).

Top 12 peaks for 2θ = 10–90°, in order of rising 2θ:
| 2θ (°) | I/Imax |
| --- | --- |
| 27.66 | 11 |
| 30.90 | 22 |
| 32.12 | 100 |
| 32.32 | 19 |
| 34.12 | 11 |
| 35.43 | 30 |
| 38.60 | 16 |
| 39.13 | 23 |
| 50.90 | 12 |
| 55.35 | 17 |
| 61.46 | 15 |
| 61.77 | 12 |

Atomic structure:
```
Ce2PmCo
1.0
3.588 0.000 0.000
0.000 9.549 0.000
-1.786 0.000 5.789
Ce Pm Co
4 2 2
Direct
0.140 0.064 0.281
0.140 0.436 0.281
0.860 0.564 0.719
0.860 0.936 0.719
0.415 0.250 0.830
0.585 0.750 0.170
0.306 0.750 0.612
0.694 0.250 0.388
```

***

[12]
For CePm2Co3, a structure optimized by DFT (PBE) gives the simulated XRD peak list in this record (CuKα).

Top 12 peaks for 2θ = 10–90°, in order of rising 2θ:
| 2θ (°) | I/Imax |
| --- | --- |
| 29.20 | 59 |
| 29.68 | 100 |
| 41.06 | 58 |
| 42.12 | 25 |
| 42.82 | 19 |
| 43.17 | 44 |
| 50.87 | 10 |
| 52.07 | 23 |
| 60.21 | 13 |
| 61.63 | 11 |
| 67.35 | 12 |
| 89.41 | 12 |

Atomic structure:
```
CePm2Co3
1.0
6.436 -3.840 0.000
6.436 3.840 0.000
0.000 0.000 5.056
Ce Pm Co
2 4 6
Direct
0.161 0.839 0.750
0.839 0.161 0.250
0.168 0.491 0.250
0.491 0.168 0.750
0.509 0.832 0.250
0.832 0.509 0.750
0.150 0.150 0.000
0.150 0.150 0.500
0.500 0.500 0.000
0.500 0.500 0.500
0.850 0.850 0.000
0.850 0.850 0.500
```

***

Please write out number 12 again, unchanged.
For CePm2Co3, a structure optimized by DFT (PBE) gives the simulated XRD peak list in this record (CuKα).

Top 12 peaks for 2θ = 10–90°, in order of rising 2θ:
| 2θ (°) | I/Imax |
| --- | --- |
| 29.20 | 59 |
| 29.68 | 100 |
| 41.06 | 58 |
| 42.12 | 25 |
| 42.82 | 19 |
| 43.17 | 44 |
| 50.87 | 10 |
| 52.07 | 23 |
| 60.21 | 13 |
| 61.63 | 11 |
| 67.35 | 12 |
| 89.41 | 12 |

Atomic structure:
```
CePm2Co3
1.0
6.436 -3.840 0.000
6.436 3.840 0.000
0.000 0.000 5.056
Ce Pm Co
2 4 6
Direct
0.161 0.839 0.750
0.839 0.161 0.250
0.168 0.491 0.250
0.491 0.168 0.750
0.509 0.832 0.250
0.832 0.509 0.750
0.150 0.150 0.000
0.150 0.150 0.500
0.500 0.500 0.000
0.500 0.500 0.500
0.850 0.850 0.000
0.850 0.850 0.500
```

***

What did the eleventh record say?
For Ce2PmCo, a structure optimized by DFT (PBE) gives the simulated XRD peak list in this record (CuKα).

Top 12 peaks for 2θ = 10–90°, in order of rising 2θ:
| 2θ (°) | I/Imax |
| --- | --- |
| 27.66 | 11 |
| 30.90 | 22 |
| 32.12 | 100 |
| 32.32 | 19 |
| 34.12 | 11 |
| 35.43 | 30 |
| 38.60 | 16 |
| 39.13 | 23 |
| 50.90 | 12 |
| 55.35 | 17 |
| 61.46 | 15 |
| 61.77 | 12 |

Atomic structure:
```
Ce2PmCo
1.0
3.588 0.000 0.000
0.000 9.549 0.000
-1.786 0.000 5.789
Ce Pm Co
4 2 2
Direct
0.140 0.064 0.281
0.140 0.436 0.281
0.860 0.564 0.719
0.860 0.936 0.719
0.415 0.250 0.830
0.585 0.750 0.170
0.306 0.750 0.612
0.694 0.250 0.388
```